# Te2Au
Computed XRD peak list, λ = 1.5418 Å (Cu Kα). Input: the PBE geometry in Alexandria.
Intensities are scaled so that the largest is 100.

Structural model:
abc: 8.9766 4.4684 10.2848
angles: 90.00 124.72 90.00
Positions (direct):
Te  0.1919  0.0265  0.4924
Te  0.1919  0.9735  0.9924
Te  0.3082  0.4240  0.7612
Te  0.3082  0.5760  0.2612
Te  0.6918  0.4240  0.7388
Te  0.6918  0.5760  0.2388
Te  0.8081  0.0265  0.0076
Te  0.8081  0.9735  0.5076
Au  0.0000  0.4817  0.7500
Au  0.0000  0.5183  0.2500
Au  0.5000  0.0000  0.0000
Au  0.5000  0.0000  0.5000

Top 12 peaks for 2θ = 15–90°, sorted by position:
2θ (°)	I_rel
17.24	17
23.27	12
29.08	100
29.86	42
40.37	17
41.93	33
42.41	28
42.79	19
45.71	10
51.01	16
52.65	10
60.28	10

---

# TcO2F2
Computed XRD peak list, λ = 1.5418 Å (Cu Kα). Input: the PBE geometry in Alexandria.
Intensities are scaled so that the largest is 100.

Structural model:
abc: 3.7441 3.7441 3.9903
angles: 90.00 90.00 90.00
Positions (direct):
Tc  0.0000  0.0000  0.0000
O  0.0000  0.5000  0.0000
O  0.5000  0.0000  0.0000
F  0.0000  0.0000  0.5000
F  0.5000  0.5000  0.5000

Top 12 peaks for 2θ = 15–90°, sorted by position:
2θ (°)	I_rel
22.28	52
23.76	100
32.80	86
33.86	45
45.46	24
48.64	38
51.93	23
54.11	18
54.83	19
57.87	19
59.91	29
68.76	23

---

# La2Pr4SmTl2
Computed XRD peak list, λ = 1.5418 Å (Cu Kα). Input: the PBE geometry in Alexandria.
Intensities are scaled so that the largest is 100.

Structural model:
abc: 6.5068 6.9508 8.4789
angles: 66.76 80.35 62.16
Positions (direct):
La  0.1895  0.0158  0.3257
La  0.8105  0.9842  0.6743
Pr  0.3047  0.9670  0.8760
Pr  0.3949  0.5145  0.7338
Pr  0.6051  0.4855  0.2662
Pr  0.6953  0.0330  0.1240
Sm  0.0000  0.5000  0.5000
Tl  0.1371  0.5533  0.1011
Tl  0.8629  0.4467  0.8989

Top 12 peaks for 2θ = 15–90°, sorted by position:
2θ (°)	I_rel
15.45	30
23.38	19
27.90	42
30.86	83
31.13	80
31.23	90
32.33	100
32.92	22
33.04	72
33.43	54
43.27	21
48.83	21

---

# Sr2AgH6Pt
Computed XRD peak list, λ = 1.5418 Å (Cu Kα). Input: the PBE geometry in Alexandria.
Intensities are scaled so that the largest is 100.

Structural model:
abc: 5.5843 5.5740 5.5132
angles: 60.48 60.30 59.22
Positions (direct):
Sr  0.2500  0.2500  0.2500
Sr  0.7500  0.7500  0.7500
Ag  0.0000  0.0000  0.0000
H  0.2689  0.2689  0.7311
H  0.2713  0.7287  0.2713
H  0.2716  0.7284  0.7284
H  0.7284  0.2716  0.2716
H  0.7287  0.2713  0.7287
H  0.7311  0.7311  0.2689
Pt  0.5000  0.5000  0.5000

Top 12 peaks for 2θ = 15–90°, sorted by position:
2θ (°)	I_rel
19.57	9
22.81	9
32.09	100
32.48	48
45.45	10
46.50	9
46.69	9
56.97	19
57.64	19
57.76	19
75.51	8
77.32	8

---

# Sr2YZrTl
Computed XRD peak list, λ = 1.5418 Å (Cu Kα). Input: the PBE geometry in Alexandria.
Intensities are scaled so that the largest is 100.

Structural model:
abc: 6.1058 6.1058 5.8814
angles: 90.00 90.00 90.00
Positions (direct):
Sr  0.0000  0.5000  0.0000
Sr  0.5000  0.0000  0.0000
Y  0.0000  0.0000  0.5000
Zr  0.5000  0.5000  0.5000
Tl  0.0000  0.0000  0.0000

Top 12 peaks for 2θ = 15–90°, sorted by position:
2θ (°)	I_rel
15.06	27
20.57	33
20.97	58
25.60	25
29.25	100
30.40	45
32.80	18
36.27	29
41.85	38
42.69	71
52.59	38
77.00	25

---

# RbSr2OsO5
Computed XRD peak list, λ = 1.5418 Å (Cu Kα). Input: the PBE geometry in Alexandria.
Intensities are scaled so that the largest is 100.

Structural model:
abc: 6.8907 6.8907 6.8907
angles: 147.40 125.43 65.03
Positions (direct):
Rb  0.0000  0.0000  0.0000
Sr  0.2770  0.7770  0.5000
Sr  0.7230  0.2230  0.5000
Os  0.5000  0.5000  0.0000
O  0.1557  0.3705  0.7852
O  0.4147  0.6295  0.7852
O  0.5000  0.0000  0.5000
O  0.5853  0.3705  0.2148
O  0.8443  0.6295  0.2148

Top 12 peaks for 2θ = 15–90°, sorted by position:
2θ (°)	I_rel
15.25	11
15.97	35
28.25	30
30.78	19
31.18	100
42.26	28
43.75	12
46.97	14
51.88	24
54.97	14
55.71	11
65.02	15